# Mn2IClO
Calculated powder XRD pattern, a wavelength of 1.5418 Å. Input: a structure optimized by DFT (PBE+U).

Crystal structure
Cell lengths 15.589, 3.753, 10.696 Å; angles 90.00, 126.25, 90.00 degrees
Space group C2/m (No. 12)
Asymmetric unit:
Mn (0.097, 0.000, 0.170) x4
Mn (0.113, 0.500, 0.910) x4
I (0.186, 0.000, 0.768) x4
Cl (0.109, 0.500, 0.331) x4
O (0.072, 0.000, 0.960) x4

Top 12 peaks for 2θ = 10–80°, by angle:
2θ 10.25, intensity 856, (0 0 1)
2θ 20.59, intensity 388, (0 0 2)
2θ 26.95, intensity 203, (4 0 -3)
2θ 28.43, intensity 429, (4 0 0)
2θ 30.48, intensity 1000, (3 1 -2)
2θ 35.08, intensity 295, (2 0 -4)
2θ 35.72, intensity 233, (4 0 1)
2θ 37.51, intensity 166, (5 1 -2)
2θ 41.59, intensity 266, (3 1 -4)
2θ 43.49, intensity 269, (1 1 3)
2θ 48.52, intensity 205, (0 2 0)
2θ 51.57, intensity 211, (7 1 -1)